This entry pairs a crystal structure of Li3BiO3 with its theoretical PXRD pattern. Radiation: Cu Kα. Structure: a PBE-relaxed structure.
Peak positions follow from Bragg's law for the DFT cell and can differ from measured ones.

Main lines, by intensity (15° ≤ 2θ ≤ 90°):
21.5 deg, rel. 100, hkl 1 1 1
24.9 deg, rel. 51, hkl 2 0 0
41.8 deg, rel. 38, hkl 3 1 1
35.4 deg, rel. 36, hkl 2 2 0
39.8 deg, rel. 22, hkl 3 1 0
47.5 deg, rel. 19, hkl 3 1 2
27.8 deg, rel. 18, hkl 2 0 1
52.7 deg, rel. 16, hkl 4 0 1
59.1 deg, rel. 14, hkl 4 2 1
66.5 deg, rel. 14, hkl 5 1 0

Atomic structure:
```
data_Li3BiO3
_chemical_formula_sum 'Li12 Bi4 O12'
_cell_length_a 7.1650
_cell_length_b 7.1650
_cell_length_c 7.1650
_cell_angle_alpha 90.00
_cell_angle_beta 90.00
_cell_angle_gamma 90.00
_symmetry_space_group_name_H-M 'P 21 3'
_symmetry_Int_Tables_number 198
_symmetry_space_group_name_Hall 'P 2ac 2ab 3'
loop_
_atom_site_label
_atom_site_type_symbol
_atom_site_fract_x
_atom_site_fract_y
_atom_site_fract_z
Li1 Li 0.0233 0.4767 0.5233
Li2 Li 0.2445 0.7445 0.7555
Li3 Li 0.2464 0.2536 0.7464
Bi1 Bi 0.0343 0.9657 0.4657
O1 O 0.0027 0.7522 0.1181
```